1.
Computed X-ray powder pattern of ZnCu3H6Cl2O6 for Cu Ka, from a DFT-relaxed cell (GGA-PBE, the Materials Project).
Peak positions follow from Bragg's law for the DFT cell and can differ from measured ones.

abc: 6.3558 6.3558 5.7448
angles: 90.00 90.00 120.00
Fractional coordinates of all 18 atoms:
Zn 0.0000 0.0000 0.0000
Cu 0.0000 0.5000 0.0000
Cu 0.5000 0.0000 0.0000
Cu 0.5000 0.5000 0.0000
H 0.1993 0.3986 0.3215
H 0.1993 0.8007 0.3215
H 0.3986 0.1993 0.6785
H 0.6014 0.8007 0.3215
H 0.8007 0.1993 0.6785
H 0.8007 0.6014 0.6785
Cl 0.3333 0.6667 0.6223
Cl 0.6667 0.3333 0.3777
O 0.1773 0.3547 0.1547
O 0.1773 0.8227 0.1547
O 0.3547 0.1773 0.8453
O 0.6453 0.8227 0.1547
O 0.8227 0.1773 0.8453
O 0.8227 0.6453 0.8453

The 10 most intense peaks (2θ = 10–90°), by angle:
2θ 15.42, rel. 100; 2θ 31.14, rel. 13; 2θ 32.53, rel. 22; 2θ 36.19, rel. 85; 2θ 45.65, rel. 41; 2θ 58.05, rel. 20; 2θ 58.74, rel. 19; 2θ 60.45, rel. 14; 2θ 70.35, rel. 10; 2θ 74.52, rel. 12


2.
Computed X-ray powder pattern of Mn2GaRh for Cu Ka, from a DFT-relaxed cell (GGA-PBE, the Materials Project).
Peak positions follow from Bragg's law for the DFT cell and can differ from measured ones.

abc: 4.2280 4.2280 4.2280
angles: 60.00 60.00 60.00
Fractional coordinates of all 4 atoms:
Mn 0.0000 0.0000 0.0000
Mn 0.2500 0.2500 0.2500
Ga 0.7500 0.7500 0.7500
Rh 0.5000 0.5000 0.5000

The 9 most intense peaks (2θ = 10–90°), by angle:
2θ 25.81, rel. 8; 2θ 29.89, rel. 2; 2θ 42.77, rel. 100; 2θ 50.63, rel. 4; 2θ 62.09, rel. 16; 2θ 68.39, rel. 2; 2θ 70.42, rel. 1; 2θ 78.34, rel. 31; 2θ 84.13, rel. 1


Repeat the first record exactly.
Computed X-ray powder pattern of ZnCu3H6Cl2O6 for Cu Ka, from a DFT-relaxed cell (GGA-PBE, the Materials Project).
Peak positions follow from Bragg's law for the DFT cell and can differ from measured ones.

abc: 6.3558 6.3558 5.7448
angles: 90.00 90.00 120.00
Fractional coordinates of all 18 atoms:
Zn 0.0000 0.0000 0.0000
Cu 0.0000 0.5000 0.0000
Cu 0.5000 0.0000 0.0000
Cu 0.5000 0.5000 0.0000
H 0.1993 0.3986 0.3215
H 0.1993 0.8007 0.3215
H 0.3986 0.1993 0.6785
H 0.6014 0.8007 0.3215
H 0.8007 0.1993 0.6785
H 0.8007 0.6014 0.6785
Cl 0.3333 0.6667 0.6223
Cl 0.6667 0.3333 0.3777
O 0.1773 0.3547 0.1547
O 0.1773 0.8227 0.1547
O 0.3547 0.1773 0.8453
O 0.6453 0.8227 0.1547
O 0.8227 0.1773 0.8453
O 0.8227 0.6453 0.8453

The 10 most intense peaks (2θ = 10–90°), by angle:
2θ 15.42, rel. 100; 2θ 31.14, rel. 13; 2θ 32.53, rel. 22; 2θ 36.19, rel. 85; 2θ 45.65, rel. 41; 2θ 58.05, rel. 20; 2θ 58.74, rel. 19; 2θ 60.45, rel. 14; 2θ 70.35, rel. 10; 2θ 74.52, rel. 12